Li7BiO6: calculated powder XRD pattern (Cu Kα X-rays), based on the PBE geometry in Alexandria.
Peak positions follow from Bragg's law for the DFT cell and can differ from measured ones.

Top 10 peaks for 10 to 80 degrees two-theta, by intensity:
| d/Å | 2theta | Rel. int. | hkl |
| --- | --- | --- | --- |
| 4.675 | 18.98 | 100 | 0 1 0 |
| 5.196 | 17.06 | 61 | 0 0 1 |
| 4.549 | 19.52 | 43 | 1 1 1 |
| 4.074 | 21.82 | 40 | 1 0 1 |
| 4.113 | 21.61 | 38 | 1 1 0 |
| 4.170 | 21.31 | 37 | 0 1 1 |
| 2.470 | 36.38 | 31 | 1 2 0 |
| 2.638 | 33.98 | 24 | 1 1 -1 |
| 2.515 | 35.70 | 21 | -1 1 1 |
| 2.415 | 37.22 | 18 | 2 1 2 |

Crystal structure
Lattice parameters (Å, degrees): 5.537 5.594 6.047 63.30 64.56 61.42
Space group P1 (No. 1)
Unique sites:
Li (0.000, 0.000, 0.000) [1 per cell]
Li (0.022, 0.754, 0.759) [1 per cell]
Li (0.125, 0.489, 0.457) [1 per cell]
Li (0.329, 0.351, 0.005) [1 per cell]
Li (0.437, 0.093, 0.736) [1 per cell]
Li (0.627, 0.600, 0.008) [1 per cell]
Li (0.891, 0.190, 0.361) [1 per cell]
Bi (0.528, 0.837, 0.392) [1 per cell]
O (0.144, 0.078, 0.621) [1 per cell]
O (0.303, 0.959, 0.117) [1 per cell]
O (0.391, 0.482, 0.629) [1 per cell]
O (0.623, 0.224, 0.167) [1 per cell]
O (0.760, 0.772, 0.631) [1 per cell]
O (0.918, 0.610, 0.147) [1 per cell]

=====

Li2BiO3: calculated powder XRD pattern (Cu Kα X-rays), based on the PBE geometry in Alexandria.
Peak positions follow from Bragg's law for the DFT cell and can differ from measured ones.

Top 10 peaks for 10 to 80 degrees two-theta, by intensity:
| d/Å | 2theta | Rel. int. | hkl |
| --- | --- | --- | --- |
| 4.935 | 17.98 | 100 | 0 1 1 |
| 3.096 | 28.84 | 58 | 1 1 2 |
| 2.496 | 35.98 | 40 | 2 1 1 |
| 2.000 | 45.34 | 23 | 1 2 3 |
| 2.773 | 32.29 | 20 | 1 0 3 |
| 1.704 | 53.79 | 12 | 1 3 2 |
| 1.709 | 53.64 | 12 | 3 1 2 |
| 2.045 | 44.29 | 12 | 2 2 0 |
| 2.897 | 30.86 | 11 | 2 0 0 |
| 1.832 | 49.76 | 10 | 0 2 4 |

Crystal structure
Lattice parameters (Å, degrees): 5.795 5.774 9.474 90.00 90.00 90.00
Space group Pnna (No. 52)
Unique sites:
Li (0.000, 0.000, 0.000) [4 per cell]
Li (0.245, 0.250, 0.250) [4 per cell]
Bi (0.250, 0.000, 0.600) [4 per cell]
O (0.085, 0.712, 0.076) [8 per cell]
O (0.091, 0.750, 0.750) [4 per cell]

=====

Li3Bi3P4O16: calculated powder XRD pattern (Cu Kα X-rays), based on the PBE geometry in Alexandria.
Peak positions follow from Bragg's law for the DFT cell and can differ from measured ones.

Top 10 peaks for 10 to 80 degrees two-theta, by intensity:
| d/Å | 2theta | Rel. int. | hkl |
| --- | --- | --- | --- |
| 5.484 | 16.16 | 100 | 1 1 -1 |
| 3.018 | 29.60 | 66 | 5 1 1 |
| 4.481 | 19.81 | 56 | 3 1 0 |
| 2.999 | 29.79 | 48 | 2 2 1 |
| 3.587 | 24.82 | 37 | 4 0 -2 |
| 3.122 | 28.59 | 35 | 1 1 3 |
| 2.730 | 32.81 | 28 | 0 0 4 |
| 3.392 | 26.27 | 25 | 4 0 2 |
| 4.209 | 21.11 | 24 | 3 1 -1 |
| 2.400 | 37.48 | 22 | 2 2 -3 |

Crystal structure
Lattice parameters (Å, degrees): 18.142 6.688 10.937 90.00 93.26 90.00
Space group C2/c (No. 15)
Unique sites:
Li (0.154, 0.080, 0.271) [8 per cell]
Li (0.250, 0.250, 0.500) [4 per cell]
Bi (0.000, 0.142, 0.750) [4 per cell]
Bi (0.140, 0.316, 0.018) [8 per cell]
P (0.064, 0.194, 0.493) [8 per cell]
P (0.192, 0.431, 0.765) [8 per cell]
O (0.010, 0.289, 0.969) [8 per cell]
O (0.062, 0.100, 0.363) [8 per cell]
O (0.085, 0.033, 0.592) [8 per cell]
O (0.124, 0.357, 0.494) [8 per cell]
O (0.135, 0.260, 0.793) [8 per cell]
O (0.146, 0.379, 0.226) [8 per cell]
O (0.238, 0.450, 0.892) [8 per cell]
O (0.245, 0.391, 0.663) [8 per cell]

=====

Li3BiP2O8: calculated powder XRD pattern (Cu Kα X-rays), based on the PBE geometry in Alexandria.
Peak positions follow from Bragg's law for the DFT cell and can differ from measured ones.

Top 10 peaks for 10 to 80 degrees two-theta, by intensity:
| d/Å | 2theta | Rel. int. | hkl |
| --- | --- | --- | --- |
| 6.608 | 13.40 | 100 | 0 1 1 |
| 4.555 | 19.49 | 85 | 1 2 -1 |
| 3.551 | 25.08 | 35 | 1 3 0 |
| 2.775 | 32.26 | 35 | 1 5 0 |
| 2.586 | 34.69 | 31 | 1 6 -1 |
| 4.301 | 20.65 | 23 | 1 1 0 |
| 5.555 | 15.95 | 21 | 0 2 1 |
| 2.906 | 30.77 | 19 | 1 2 1 |
| 4.441 | 19.99 | 18 | 0 4 0 |
| 2.654 | 33.77 | 17 | 2 0 -2 |

Crystal structure
Lattice parameters (Å, degrees): 5.327 17.767 8.555 90.00 123.68 90.00
Space group P2_1/c (No. 14)
Unique sites:
Li (0.058, 0.062, 0.248) [4 per cell]
Li (0.175, 0.598, 0.990) [4 per cell]
Li (0.297, 0.190, 0.570) [4 per cell]
Bi (0.242, 0.121, 0.941) [4 per cell]
P (0.107, 0.720, 0.363) [4 per cell]
P (0.430, 0.528, 0.730) [4 per cell]
O (0.022, 0.198, 0.675) [4 per cell]
O (0.056, 0.167, 0.306) [4 per cell]
O (0.079, 0.691, 0.526) [4 per cell]
O (0.209, 0.550, 0.791) [4 per cell]
O (0.275, 0.074, 0.652) [4 per cell]
O (0.282, 0.544, 0.518) [4 per cell]
O (0.448, 0.726, 0.435) [4 per cell]
O (0.485, 0.059, 0.266) [4 per cell]

=====

Li3Bi3P4O16: calculated powder XRD pattern (Cu Kα X-rays), based on the PBE geometry in Alexandria.
Peak positions follow from Bragg's law for the DFT cell and can differ from measured ones.

Top 10 peaks for 10 to 80 degrees two-theta, by intensity:
| d/Å | 2theta | Rel. int. | hkl |
| --- | --- | --- | --- |
| 7.998 | 11.06 | 100 | 1 0 0 |
| 3.401 | 26.20 | 33 | 2 1 -3 |
| 3.934 | 22.60 | 28 | 1 1 -3 |
| 3.675 | 24.22 | 24 | 0 1 3 |
| 4.469 | 19.87 | 18 | 1 0 2 |
| 2.547 | 35.24 | 17 | 3 1 -1 |
| 3.443 | 25.88 | 17 | 2 1 -1 |
| 2.952 | 30.27 | 12 | 1 1 3 |
| 2.708 | 33.08 | 12 | 0 2 0 |
| 2.966 | 30.13 | 11 | 2 0 2 |

Crystal structure
Lattice parameters (Å, degrees): 9.243 5.416 17.348 90.00 120.09 90.00
Space group P2_1/c (No. 14)
Unique sites:
Li (0.000, 0.000, 0.000) [2 per cell]
Li (0.105, 0.051, 0.289) [4 per cell]
Bi (0.401, 0.544, 0.632) [4 per cell]
Bi (0.500, 0.000, 0.500) [2 per cell]
P (0.231, 0.526, 0.393) [4 per cell]
P (0.269, 0.039, 0.638) [4 per cell]
O (0.086, 0.090, 0.810) [4 per cell]
O (0.136, 0.223, 0.581) [4 per cell]
O (0.208, 0.520, 0.475) [4 per cell]
O (0.216, 0.723, 0.151) [4 per cell]
O (0.268, 0.702, 0.876) [4 per cell]
O (0.387, 0.530, 0.096) [4 per cell]
O (0.389, 0.173, 0.728) [4 per cell]
O (0.395, 0.132, 0.917) [4 per cell]

=====

LiBi2PO6: calculated powder XRD pattern (Cu Kα X-rays), based on the PBE geometry in Alexandria.
Peak positions follow from Bragg's law for the DFT cell and can differ from measured ones.

Top 10 peaks for 10 to 80 degrees two-theta, by intensity:
| d/Å | 2theta | Rel. int. | hkl |
| --- | --- | --- | --- |
| 3.000 | 29.78 | 100 | 2 1 0 |
| 5.097 | 17.40 | 57 | 0 0 2 |
| 3.711 | 23.98 | 50 | 2 1 -2 |
| 2.101 | 43.06 | 30 | 2 1 2 |
| 2.475 | 36.29 | 25 | 0 2 2 |
| 1.665 | 55.15 | 18 | 2 3 0 |
| 2.831 | 31.60 | 18 | 0 2 0 |
| 2.212 | 40.78 | 17 | 4 0 -6 |
| 1.894 | 48.03 | 15 | 0 2 4 |
| 1.545 | 59.87 | 14 | 2 1 -8 |

Crystal structure
Lattice parameters (Å, degrees): 9.824 5.663 14.155 90.00 133.93 90.00
Space group P2_1/c (No. 14)
Unique sites:
Li (0.131, 0.249, 0.000) [4 per cell]
Bi (0.141, 0.244, 0.749) [4 per cell]
Bi (0.357, 0.744, 0.749) [4 per cell]
P (0.343, 0.750, 0.000) [4 per cell]
O (0.097, 0.570, 0.652) [4 per cell]
O (0.187, 0.557, 0.935) [4 per cell]
O (0.207, 0.070, 0.652) [4 per cell]
O (0.317, 0.556, 0.565) [4 per cell]
O (0.325, 0.631, 0.392) [4 per cell]
O (0.460, 0.131, 0.392) [4 per cell]

=====

Li2Bi2P2O9: calculated powder XRD pattern (Cu Kα X-rays), based on the PBE geometry in Alexandria.
Peak positions follow from Bragg's law for the DFT cell and can differ from measured ones.

Top 10 peaks for 10 to 80 degrees two-theta, by intensity:
| d/Å | 2theta | Rel. int. | hkl |
| --- | --- | --- | --- |
| 4.870 | 18.22 | 100 | 1 1 0 |
| 5.785 | 15.32 | 98 | 1 0 0 |
| 3.712 | 23.97 | 83 | 0 1 2 |
| 3.278 | 27.20 | 82 | 1 1 -2 |
| 4.511 | 19.68 | 60 | 0 2 0 |
| 3.558 | 25.03 | 55 | 1 2 0 |
| 2.755 | 32.50 | 47 | 2 1 0 |
| 3.182 | 28.04 | 45 | 1 2 1 |
| 3.169 | 28.16 | 38 | 1 0 2 |
| 2.015 | 44.98 | 37 | 1 4 1 |

Crystal structure
Lattice parameters (Å, degrees): 5.821 9.023 8.197 90.00 96.36 90.00
Space group P2_1 (No. 4)
Unique sites:
Li (0.047, 0.000, 0.155) [2 per cell]
Li (0.048, 0.026, 0.566) [2 per cell]
Bi (0.381, 0.585, 0.142) [2 per cell]
Bi (0.412, 0.684, 0.577) [2 per cell]
P (0.005, 0.791, 0.830) [2 per cell]
P (0.337, 0.343, 0.669) [2 per cell]
O (0.048, 0.429, 0.068) [2 per cell]
O (0.124, 0.841, 0.678) [2 per cell]
O (0.131, 0.451, 0.661) [2 per cell]
O (0.183, 0.686, 0.929) [2 per cell]
O (0.206, 0.634, 0.346) [2 per cell]
O (0.213, 0.196, 0.218) [2 per cell]
O (0.287, 0.182, 0.602) [2 per cell]
O (0.463, 0.326, 0.845) [2 per cell]
O (0.490, 0.908, 0.450) [2 per cell]

=====

Li3BiP2O8: calculated powder XRD pattern (Cu Kα X-rays), based on the PBE geometry in Alexandria.
Peak positions follow from Bragg's law for the DFT cell and can differ from measured ones.

Top 10 peaks for 10 to 80 degrees two-theta, by intensity:
| d/Å | 2theta | Rel. int. | hkl |
| --- | --- | --- | --- |
| 6.820 | 12.98 | 100 | 1 0 0 |
| 3.734 | 23.83 | 93 | 1 1 1 |
| 4.643 | 19.12 | 69 | 0 1 1 |
| 4.101 | 21.67 | 48 | 1 0 -2 |
| 2.673 | 33.53 | 38 | 0 2 0 |
| 2.696 | 33.23 | 38 | 0 1 3 |
| 2.605 | 34.43 | 35 | 2 0 2 |
| 2.932 | 30.49 | 26 | 2 0 -2 |
| 2.831 | 31.60 | 23 | 2 1 -1 |
| 2.092 | 43.24 | 20 | 3 1 -1 |

Crystal structure
Lattice parameters (Å, degrees): 6.871 5.346 9.436 90.00 97.00 90.00
Space group P2_1/m (No. 11)
Unique sites:
Li (0.041, 0.250, 0.214) [2 per cell]
Li (0.205, 0.250, 0.939) [2 per cell]
Li (0.226, 0.750, 0.460) [2 per cell]
Bi (0.489, 0.250, 0.235) [2 per cell]
P (0.236, 0.250, 0.554) [2 per cell]
P (0.284, 0.750, 0.050) [2 per cell]
O (0.041, 0.250, 0.614) [2 per cell]
O (0.197, 0.508, 0.109) [4 per cell]
O (0.221, 0.250, 0.388) [2 per cell]
O (0.226, 0.750, 0.883) [2 per cell]
O (0.355, 0.008, 0.601) [4 per cell]
O (0.490, 0.250, 0.914) [2 per cell]